# MgV8O16
Theoretical powder diffractogram, Cu Kα (weighted mean of Kα1 and Kα2). Input: the PBE+U geometry in Alexandria.
No peak broadening, texture or thermal motion is included.

Lattice parameters (Å, degrees): 5.205 10.463 5.902 90.00 92.74 90.00
Fractional coordinates of all 25 atoms:
Mg  0.000  0.000  0.000
V  0.151  0.251  0.740
V  0.151  0.749  0.740
V  0.157  0.251  0.247
V  0.157  0.749  0.247
V  0.643  0.249  0.997
V  0.643  0.751  0.997
V  0.666  0.228  0.501
V  0.666  0.772  0.501
O  0.308  0.145  0.997
O  0.308  0.855  0.997
O  0.312  0.151  0.487
O  0.312  0.849  0.487
O  0.501  0.331  0.254
O  0.501  0.669  0.254
O  0.512  0.332  0.745
O  0.512  0.668  0.745
O  0.820  0.137  0.753
O  0.820  0.863  0.753
O  0.830  0.140  0.225
O  0.830  0.860  0.225
O  0.975  0.336  0.486
O  0.975  0.664  0.486
O  0.987  0.338  0.004
O  0.987  0.662  0.004

Principal peaks in the range 2θ = 10–80°, low angle first:
| 2theta | Rel. int. | hkl |
| --- | --- | --- |
| 16.9 | 100 | 0 2 0 |
| 34.3 | 8 | 1 0 -2 |
| 34.5 | 5 | 2 0 0 |
| 38.4 | 14 | 1 2 -2 |
| 38.7 | 13 | 2 2 0 |
| 39.8 | 12 | 1 2 2 |
| 49.2 | 10 | 1 4 -2 |
| 49.4 | 10 | 2 4 0 |
| 50.4 | 9 | 1 4 2 |
| 63.5 | 8 | 3 0 2 |